# 1
The following is a calculated X-ray powder pattern of AcNd6HoTm2. It was derived from a DFT-relaxed cell (PBE, Alexandria), using copper Kα.

```
AcNd6HoTm2
1.0
4.7243 -7.6902 0.0000
4.7243 7.6902 0.0000
-0.9585 0.0000 9.6704
Ac Nd Ho Tm
2 12 2 4
Direct
0.0308 0.9692 0.7500 Ac
0.9692 0.0308 0.2500 Ac
0.0043 0.5512 0.6826 Nd
0.1191 0.7569 0.0543 Nd
0.2431 0.8809 0.4457 Nd
0.2914 0.5144 0.8826 Nd
0.4488 0.9957 0.8174 Nd
0.4856 0.7086 0.6174 Nd
0.5144 0.2914 0.3826 Nd
0.5512 0.0043 0.1826 Nd
0.7086 0.4856 0.1174 Nd
0.7569 0.1191 0.5543 Nd
0.8809 0.2431 0.9457 Nd
0.9957 0.4488 0.3174 Nd
0.4128 0.5872 0.2500 Ho
0.5872 0.4128 0.7500 Ho
0.2072 0.3125 0.5491 Tm
0.3125 0.2072 0.0491 Tm
0.6875 0.7928 0.9509 Tm
0.7928 0.6875 0.4509 Tm
```

Largest 12 diffraction maxima, by intensity, 2θ from 10° to 90°:
2.970 Å, 2θ 30.09, intensity 100; 3.221 Å, 2θ 27.70, intensity 66; 3.012 Å, 2θ 29.66, intensity 42; 2.896 Å, 2θ 30.88, intensity 31; 2.924 Å, 2θ 30.58, intensity 31; 2.681 Å, 2θ 33.42, intensity 30; 2.823 Å, 2θ 31.70, intensity 22; 1.611 Å, 2θ 57.19, intensity 14; 2.623 Å, 2θ 34.19, intensity 12; 1.573 Å, 2θ 58.70, intensity 12; 2.006 Å, 2θ 45.21, intensity 12; 1.578 Å, 2θ 58.50, intensity 11


# 2
The following is a calculated X-ray powder pattern of Ac6CdGa2. It was derived from a DFT-relaxed cell (PBE, Alexandria), using copper Kα.

```
Ac6CdGa2
1.0
-5.3580 5.4130 5.7277
5.3580 -5.4130 5.7277
5.3580 5.4130 -5.7277
Ac Cd Ga
12 2 4
Direct
0.0484 0.2447 0.8037 Ac
0.1767 0.2742 0.4509 Ac
0.1767 0.7258 0.9025 Ac
0.3260 0.0254 0.6993 Ac
0.3260 0.6267 0.3007 Ac
0.4410 0.2447 0.1963 Ac
0.5590 0.7553 0.8037 Ac
0.6740 0.3733 0.6993 Ac
0.6740 0.9746 0.3007 Ac
0.8233 0.2742 0.0975 Ac
0.8233 0.7258 0.5491 Ac
0.9516 0.7553 0.1963 Ac
0.0000 0.0000 0.0000 Cd
0.5000 0.5000 0.0000 Cd
0.1152 0.6152 0.5000 Ga
0.3506 0.0000 0.3506 Ga
0.6494 0.0000 0.6494 Ga
0.8848 0.3848 0.5000 Ga
```

Largest 12 diffraction maxima, by intensity, 2θ from 10° to 90°:
3.171 Å, 2θ 28.14, intensity 100; 2.936 Å, 2θ 30.44, intensity 48; 2.896 Å, 2θ 30.88, intensity 46; 2.989 Å, 2θ 29.90, intensity 43; 2.679 Å, 2θ 33.44, intensity 35; 1.754 Å, 2θ 52.14, intensity 28; 3.392 Å, 2θ 26.27, intensity 25; 3.601 Å, 2θ 24.72, intensity 25; 3.913 Å, 2θ 22.73, intensity 21; 3.442 Å, 2θ 25.89, intensity 20; 2.531 Å, 2θ 35.47, intensity 20; 1.799 Å, 2θ 50.75, intensity 17